For Tl12PbAu7, a cell relaxed with GGA-PBE gives the theoretical X-ray diffraction stick pattern in this record (CuKα).
Peak positions follow from Bragg's law for the DFT cell and can differ from measured ones.

Largest 10 diffraction maxima, by intensity, 10° ≤ 2θ ≤ 90°:
| index | 2θ/deg | I (rel.) |
| --- | --- | --- |
| 3 2 1 | 32.0 | 100.0 |
| 3 1 2 | 32.8 | 89.1 |
| 0 0 3 | 31.8 | 54.4 |
| 2 5 0 | 43.8 | 36.2 |
| 2 2 3 | 40.1 | 34.3 |
| 5 -3 2 | 37.1 | 31.7 |
| 1 1 3 | 34.0 | 27.2 |
| 0 4 2 | 35.0 | 25.3 |
| 3 5 4 | 67.4 | 23.2 |
| 4 -3 1 | 27.1 | 20.1 |

Structure:
```
data_Tl12PbAu7
_chemical_formula_sum 'Tl36 Pb3 Au21'
_cell_length_a 14.9025
_cell_length_b 14.9025
_cell_length_c 8.4490
_cell_angle_alpha 90.00
_cell_angle_beta 90.00
_cell_angle_gamma 120.00
_space_group_name_H-M_alt 'R -3'
_space_group_IT_number 148
_space_group_name_Hall '-R 3'
loop_
_atom_site_label
_atom_site_type_symbol
_atom_site_fract_x
_atom_site_fract_y
_atom_site_fract_z
Tl1 Tl 0.0489 0.2299 0.3845
Tl2 Tl 0.0548 0.7832 0.9741
Pb1 Pb 0.0000 0.0000 0.0000
Au1 Au 0.0000 0.0000 0.5000
Au2 Au 0.0331 0.1617 0.7425
```

For Ho3Tm2Bi3, a cell relaxed with GGA-PBE gives the theoretical X-ray diffraction stick pattern in this record (CuKα).
Peak positions follow from Bragg's law for the DFT cell and can differ from measured ones.

Largest 10 diffraction maxima, by intensity, 10° ≤ 2θ ≤ 90°:
| index | 2θ/deg | I (rel.) |
| --- | --- | --- |
| 1 1 4 | 32.3 | 100.0 |
| 1 3 3 | 32.7 | 82.2 |
| 0 4 4 | 33.6 | 78.2 |
| 1 5 0 | 36.3 | 53.7 |
| 2 0 0 | 42.2 | 39.8 |
| 2 4 4 | 55.0 | 39.2 |
| 1 3 0 | 27.3 | 36.2 |
| 1 3 1 | 27.9 | 35.0 |
| 1 7 7 | 65.0 | 25.7 |
| 0 8 0 | 47.9 | 22.0 |

Structure:
```
data_Ho3Tm2Bi3
_chemical_formula_sum 'Ho12 Tm8 Bi12'
_cell_length_a 4.2817
_cell_length_b 15.1775
_cell_length_c 14.9784
_cell_angle_alpha 90.00
_cell_angle_beta 90.00
_cell_angle_gamma 90.00
_space_group_name_H-M_alt 'C m c m'
_space_group_IT_number 63
_space_group_name_Hall '-C 2c 2'
loop_
_atom_site_label
_atom_site_type_symbol
_atom_site_fract_x
_atom_site_fract_y
_atom_site_fract_z
Ho1 Ho 0.0000 0.0375 0.1130
Ho2 Ho 0.0000 0.3916 0.2500
Tm1 Tm 0.0000 0.2417 0.6143
Bi1 Bi 0.0000 0.3890 0.0373
Bi2 Bi 0.0000 0.3975 0.7500
```

For IrPt3S8, a cell relaxed with GGA-PBE gives the theoretical X-ray diffraction stick pattern in this record (CuKα).
Peak positions follow from Bragg's law for the DFT cell and can differ from measured ones.

Largest 10 diffraction maxima, by intensity, 10° ≤ 2θ ≤ 90°:
| index | 2θ/deg | I (rel.) |
| --- | --- | --- |
| 2 0 -1 | 15.5 | 100.0 |
| 4 0 0 | 35.8 | 59.2 |
| 2 0 1 | 29.3 | 53.5 |
| 0 2 3 | 53.7 | 24.4 |
| 2 2 2 | 51.1 | 21.5 |
| 2 2 0 | 30.7 | 21.1 |
| 4 2 -1 | 39.2 | 20.1 |
| 4 2 -3 | 47.3 | 13.9 |
| 6 2 -2 | 52.0 | 12.5 |
| 4 0 -2 | 31.4 | 7.3 |

Structure:
```
data_IrPt3S8
_chemical_formula_sum 'Ir2 Pt6 S16'
_cell_length_a 12.1197
_cell_length_b 7.1512
_cell_length_c 7.0513
_cell_angle_alpha 90.00
_cell_angle_beta 124.24
_cell_angle_gamma 90.00
_space_group_name_H-M_alt 'C 1 2/m 1'
_space_group_IT_number 12
loop_
_space_group_symop_operation_xyz
'x,y,z'
'-x,-y,-z'
'-x,y,-z'
'x,-y,z'
'x+1/2,y+1/2,z'
'-x+1/2,-y+1/2,-z'
'-x+1/2,y+1/2,-z'
'x+1/2,-y+1/2,z'
loop_
_atom_site_label
_atom_site_type_symbol
_atom_site_fract_x
_atom_site_fract_y
_atom_site_fract_z
Ir1 Ir 0.0000 0.0000 0.0000
Pt1 Pt 0.0000 0.5000 0.0000
Pt2 Pt 0.2500 0.2500 0.5000
S1 S 0.0107 0.2475 0.2360
S2 S 0.2369 0.0000 0.2591
S3 S 0.2381 0.5000 0.2627
```

For Pr4Sm4Ho5, a cell relaxed with GGA-PBE gives the theoretical X-ray diffraction stick pattern in this record (CuKα).
Peak positions follow from Bragg's law for the DFT cell and can differ from measured ones.

Largest 10 diffraction maxima, by intensity, 10° ≤ 2θ ≤ 90°:
| index | 2θ/deg | I (rel.) |
| --- | --- | --- |
| 3 2 1 | 30.3 | 100.0 |
| 1 5 0 | 35.0 | 33.9 |
| 8 1 1 | 59.9 | 28.6 |
| 1 5 2 | 50.5 | 24.0 |
| 0 0 2 | 35.2 | 16.7 |
| 3 2 3 | 60.2 | 14.3 |
| 6 4 2 | 63.0 | 12.3 |
| 6 4 0 | 50.4 | 12.1 |
| 8 1 3 | 82.2 | 11.7 |
| 9 6 1 | 82.0 | 5.8 |

Structure:
```
data_Pr4Sm4Ho5
_chemical_formula_sum 'Pr8 Sm8 Ho10'
_cell_length_a 13.0611
_cell_length_b 13.0611
_cell_length_c 5.0944
_cell_angle_alpha 90.00
_cell_angle_beta 90.00
_cell_angle_gamma 90.00
_space_group_name_H-M_alt 'I 4/m'
_space_group_IT_number 87
_space_group_name_Hall '-I 4'
loop_
_atom_site_label
_atom_site_type_symbol
_atom_site_fract_x
_atom_site_fract_y
_atom_site_fract_z
Pr1 Pr 0.0792 0.3827 0.0000
Sm1 Sm 0.1524 0.7717 0.0000
Ho1 Ho 0.0000 0.0000 0.0000
Ho2 Ho 0.0387 0.1886 0.5000
```

For CePrPt4, a cell relaxed with GGA-PBE gives the theoretical X-ray diffraction stick pattern in this record (CuKα).
Peak positions follow from Bragg's law for the DFT cell and can differ from measured ones.

Largest 10 diffraction maxima, by intensity, 10° ≤ 2θ ≤ 90°:
| index | 2θ/deg | I (rel.) |
| --- | --- | --- |
| 3 1 1 | 38.3 | 100.0 |
| 2 2 2 | 40.0 | 51.1 |
| 5 1 1 | 61.8 | 33.2 |
| 4 4 0 | 68.0 | 30.4 |
| 6 2 2 | 81.9 | 20.0 |
| 2 2 0 | 32.5 | 18.2 |
| 1 1 1 | 19.7 | 17.2 |
| 5 3 3 | 80.8 | 11.7 |
| 4 0 0 | 46.6 | 10.1 |
| 4 2 2 | 57.9 | 6.9 |

Structure:
```
data_CePrPt4
_chemical_formula_sum 'Ce4 Pr4 Pt16'
_cell_length_a 7.8010
_cell_length_b 7.8010
_cell_length_c 7.8010
_cell_angle_alpha 90.00
_cell_angle_beta 90.00
_cell_angle_gamma 90.00
_space_group_name_H-M_alt 'F -4 3 m'
_space_group_IT_number 216
_space_group_name_Hall 'F -4 2 3'
loop_
_atom_site_label
_atom_site_type_symbol
_atom_site_fract_x
_atom_site_fract_y
_atom_site_fract_z
Ce1 Ce 0.0000 0.0000 0.0000
Pr1 Pr 0.2500 0.2500 0.2500
Pt1 Pt 0.1252 0.1252 0.6252
```